No. 1
Calculated X-ray powder pattern
Compound: MgBO3
Radiation: Cu Kα, 1.54184 Å
Structure: a structure optimized by DFT (GGA-PBE)

Structure:
```
data_MgBO3
_space_group_name_H-M_alt 'P 1 21/c 1'
_space_group_IT_number 14
_cell_length_a 3.2204
_cell_length_b 10.4343
_cell_length_c 12.4845
_cell_angle_alpha 90.00
_cell_angle_beta 95.10
_cell_angle_gamma 90.00
loop_
_space_group_symop_operation_xyz
'x,y,z'
'-x,-y,-z'
'-x,y+1/2,-z+1/2'
'x,-y+1/2,z+1/2'
loop_
_atom_site_label
_atom_site_fract_x
_atom_site_fract_y
_atom_site_fract_z
Mg1 0.2109 0.0825 0.4049
Mg2 0.2583 0.6307 0.4936
B1 0.1212 0.0464 0.8098
B2 0.2573 0.1697 0.6425
O1 0.1035 0.0480 0.2442
O2 0.2142 0.1563 0.7509
O3 0.2217 0.0463 0.9183
O4 0.2667 0.2086 0.0993
O5 0.2858 0.0648 0.5762
O6 0.2869 0.7008 0.0766
```

Main lines, by angle (10° ≤ 2θ ≤ 90°):
hkl 0 0 2, 14.24 deg, I 92; hkl 1 1 0, 29.12 deg, I 50; hkl 1 2 -1, 33.03 deg, I 47; hkl 1 2 -2, 34.85 deg, I 100; hkl 0 1 5, 37.16 deg, I 56; hkl 1 3 0, 38.17 deg, I 54; hkl 0 4 3, 40.88 deg, I 69; hkl 0 0 6, 43.67 deg, I 47

No. 2
Calculated X-ray powder pattern
Compound: TiReP3O12
Radiation: Cu Kα, 1.54184 Å
Structure: a structure optimized by DFT (GGA-PBE)

Structure:
```
data_TiReP3O12
_space_group_name_H-M_alt 'R 3 c'
_space_group_IT_number 161
_space_group_name_Hall 'R 3 -2"c'
_cell_length_a 8.6864
_cell_length_b 8.6864
_cell_length_c 21.7616
_cell_angle_alpha 90.00
_cell_angle_beta 90.00
_cell_angle_gamma 120.00
loop_
_atom_site_label
_atom_site_fract_x
_atom_site_fract_y
_atom_site_fract_z
Ti1 0.0000 0.0000 0.0000
Re1 0.0000 0.0000 0.2200
P1 0.0520 0.3825 0.2771
O1 0.0143 0.1886 0.5537
O2 0.0338 0.1955 0.2731
O3 0.1599 0.4669 0.6180
O4 0.1642 0.4665 0.3362
```

Main lines, by angle (10° ≤ 2θ ≤ 90°):
hkl 0 1 2, 14.31 deg, I 100; hkl 1 0 4, 20.14 deg, I 96; hkl 1 1 0, 20.45 deg, I 70; hkl 1 1 3, 23.88 deg, I 42; hkl 0 2 4, 28.86 deg, I 57; hkl 1 1 6, 32.15 deg, I 47; hkl 2 1 4, 35.63 deg, I 32; hkl 3 0 0, 35.81 deg, I 23

No. 3
Calculated X-ray powder pattern
Compound: K2Ca3Si3O10
Radiation: Cu Kα, 1.54184 Å
Structure: a structure optimized by DFT (GGA-PBE)

Structure:
```
data_K2Ca3Si3O10
_space_group_name_H-M_alt 'C 1 2/c 1'
_space_group_IT_number 15
_cell_length_a 10.4482
_cell_length_b 10.7595
_cell_length_c 9.9287
_cell_angle_alpha 90.00
_cell_angle_beta 117.80
_cell_angle_gamma 90.00
loop_
_space_group_symop_operation_xyz
'x,y,z'
'-x,-y,-z'
'-x,y,-z+1/2'
'x,-y,z+1/2'
'x+1/2,y+1/2,z'
'-x+1/2,-y+1/2,-z'
'-x+1/2,y+1/2,-z+1/2'
'x+1/2,-y+1/2,z+1/2'
loop_
_atom_site_label
_atom_site_fract_x
_atom_site_fract_y
_atom_site_fract_z
K1 0.1479 0.1214 0.0110
Ca1 0.0000 0.1303 0.2500
Ca2 0.1028 0.3811 0.4779
Si1 0.0000 0.3407 0.7500
Si2 0.2142 0.1383 0.7076
O1 0.0556 0.4162 0.9076
O2 0.1188 0.3150 0.2271
O3 0.1326 0.2476 0.7630
O4 0.1404 0.1467 0.5191
O5 0.1849 0.0047 0.7666
```

Main lines, by angle (10° ≤ 2θ ≤ 90°):
hkl 3 1 0, 30.17 deg, I 21; hkl 2 2 1, 30.62 deg, I 98; hkl 2 2 -3, 32.16 deg, I 100; hkl 0 4 0, 33.31 deg, I 51; hkl 4 0 -2, 34.41 deg, I 48; hkl 0 4 2, 39.28 deg, I 22; hkl 0 0 4, 41.11 deg, I 47; hkl 4 4 -2, 48.65 deg, I 55

No. 4
Calculated X-ray powder pattern
Compound: FeSb2
Radiation: Cu Kα, 1.54184 Å
Structure: a structure optimized by DFT (GGA-PBE)

Structure:
```
data_FeSb2
_space_group_name_H-M_alt 'I 4/m c m'
_space_group_IT_number 140
_space_group_name_Hall '-I 4 2c'
_cell_length_a 6.5059
_cell_length_b 6.5059
_cell_length_c 5.6981
_cell_angle_alpha 90.00
_cell_angle_beta 90.00
_cell_angle_gamma 90.00
loop_
_atom_site_label
_atom_site_fract_x
_atom_site_fract_y
_atom_site_fract_z
Fe1 0.0000 0.0000 0.2500
Sb1 0.1644 0.3356 0.0000
```

Main lines, by angle (10° ≤ 2θ ≤ 90°):
hkl 0 0 2, 31.40 deg, I 16; hkl 2 1 1, 34.62 deg, I 100; hkl 1 1 2, 37.12 deg, I 19; hkl 2 0 2, 42.16 deg, I 26; hkl 3 1 0, 44.01 deg, I 25; hkl 2 1 3, 57.99 deg, I 22; hkl 4 1 1, 60.92 deg, I 17; hkl 3 3 2, 69.63 deg, I 17

No. 5
Calculated X-ray powder pattern
Compound: BaO10
Radiation: Cu Kα, 1.54184 Å
Structure: a structure optimized by DFT (GGA-PBE)

Structure:
```
data_BaO10
_space_group_name_H-M_alt 'P 1 21/c 1'
_space_group_IT_number 14
_cell_length_a 8.4711
_cell_length_b 8.9901
_cell_length_c 11.4028
_cell_angle_alpha 90.00
_cell_angle_beta 123.86
_cell_angle_gamma 90.00
loop_
_space_group_symop_operation_xyz
'x,y,z'
'-x,-y,-z'
'-x,y+1/2,-z+1/2'
'x,-y+1/2,z+1/2'
loop_
_atom_site_label
_atom_site_fract_x
_atom_site_fract_y
_atom_site_fract_z
Ba1 0.2441 0.1613 0.0036
O1 0.1026 0.0391 0.4419
O2 0.1275 0.5979 0.9528
O3 0.1279 0.5112 0.7097
O4 0.1466 0.5886 0.6138
O5 0.1622 0.1356 0.2136
O6 0.3184 0.5934 0.3872
O7 0.3549 0.5241 0.2991
O8 0.3682 0.1244 0.8135
O9 0.4160 0.5859 0.0726
O10 0.4225 0.0528 0.5778
```

Main lines, by angle (10° ≤ 2θ ≤ 90°):
hkl 1 1 0, 16.00 deg, I 100; hkl 1 1 -2, 18.56 deg, I 47; hkl 0 0 2, 18.74 deg, I 50; hkl 1 2 -1, 22.51 deg, I 49; hkl 1 2 -3, 30.96 deg, I 40; hkl 0 3 1, 31.31 deg, I 39; hkl 2 0 -4, 31.69 deg, I 48; hkl 2 1 1, 33.28 deg, I 77